Structure and simulated X-ray diffraction stick pattern of NaFeB2F8 (a structure optimized by DFT (PBE+U); copper Kα).
Kinematic intensities with the Lorentz-polarization factor, no thermal factor.

Peak list (10 most intense, 2θ from 5° to 70°, low angle first)
- 21.31°, rel. 25.4
- 27.11°, rel. 100.0
- 30.09°, rel. 21.6
- 36.56°, rel. 28.2
- 38.90°, rel. 39.6
- 40.77°, rel. 20.0
- 43.40°, rel. 15.7
- 45.28°, rel. 81.1
- 65.82°, rel. 18.3
- 66.12°, rel. 19.1

Structure:
```
NaFeB2F8
1.0
2.4576 1.4189 6.9086
-2.4576 1.4189 6.9086
0.0000 -2.8378 6.9086
Na Fe B F
1 1 2 8
Direct
0.0000 0.0000 0.0000
0.5000 0.5000 0.5000
0.2552 0.2552 0.2552
0.7448 0.7448 0.7448
0.0241 0.7966 0.4799
0.2034 0.5201 0.9759
0.3234 0.3234 0.3234
0.4799 0.0241 0.7966
0.5201 0.9759 0.2034
0.6766 0.6766 0.6766
0.7966 0.4799 0.0241
0.9759 0.2034 0.5201
```